The following is a computed powder diffractogram of LiVO2F2. It was derived from DFT lattice parameters and positions (PBE+U), using copper Kα.

Atomic structure:
```
data_LiVO2F2
_chemical_formula_sum 'Li4 V4 O8 F8'
_cell_length_a 7.3467
_cell_length_b 4.9066
_cell_length_c 7.4958
_cell_angle_alpha 90.00
_cell_angle_beta 103.67
_cell_angle_gamma 90.00
_space_group_name_H-M_alt 'P 1'
_space_group_IT_number 1
_space_group_name_Hall 'P 1'
loop_
_atom_site_label
_atom_site_type_symbol
_atom_site_fract_x
_atom_site_fract_y
_atom_site_fract_z
Li1 Li 0.1449 0.2488 0.3456
Li2 Li 0.1449 0.2512 0.8456
Li3 Li 0.8551 0.7488 0.1544
Li4 Li 0.8551 0.7512 0.6544
V1 V 0.3386 0.7319 0.1605
V2 V 0.3386 0.7681 0.6605
V3 V 0.6614 0.2319 0.3395
V4 V 0.6614 0.2681 0.8395
O1 O 0.3170 0.6101 0.9503
O2 O 0.3170 0.8899 0.4503
O3 O 0.4535 0.0684 0.7999
O4 O 0.4535 0.4316 0.2999
O5 O 0.5465 0.5684 0.7001
O6 O 0.5465 0.9316 0.2001
O7 O 0.6830 0.1101 0.5497
O8 O 0.6830 0.3899 0.0497
F1 F 0.1043 0.5835 0.1977
F2 F 0.1043 0.9165 0.6977
F3 F 0.1915 0.0531 0.0994
F4 F 0.1915 0.4469 0.5994
F5 F 0.8085 0.5531 0.4006
F6 F 0.8085 0.9469 0.9006
F7 F 0.8957 0.0835 0.3023
F8 F 0.8957 0.4165 0.8023
```

Main lines, by angle (2θ from 10° to 90°):
(1 0 0), 12.40°, intensity 52
(1 1 0), 21.98°, intensity 100
(1 0 -2), 24.68°, intensity 53
(0 1 2), 30.58°, intensity 51
(2 1 0), 30.98°, intensity 44
(1 1 -3), 40.71°, intensity 24
(3 1 -1), 41.35°, intensity 29
(1 2 1), 41.76°, intensity 24
(0 1 4), 53.68°, intensity 31
(2 2 2), 54.78°, intensity 39